# Rb4Mg3VF12
Calculated XRD peak list, copper Kα. Input: a crystal structure in Alexandria, relaxed with PBE+U.
Neutral-atom scattering factors, no anomalous dispersion.

Largest 10 diffraction maxima, by angle, 2θ = 5–70°:
2θ/deg, d [Å], Rel. int.
15.06, 5.884, 2
21.36, 4.161, 14
26.23, 3.397, 1
30.38, 2.942, 100
37.44, 2.402, 50
43.50, 2.080, 57
48.95, 1.861, 7
53.98, 1.699, 39
63.21, 1.471, 33
67.54, 1.387, 4

Crystal structure
abc: 7.2064 7.2064 7.2064
angles: 109.47 109.47 109.47
Fractional coordinates of all 20 atoms:
1 Rb 0.0000 0.0000 0.5000
2 Rb 0.0000 0.5000 0.0000
3 Rb 0.5000 0.0000 0.0000
4 Rb 0.5000 0.5000 0.5000
5 Mg 0.0000 0.5000 0.5000
6 Mg 0.5000 0.0000 0.5000
7 Mg 0.5000 0.5000 0.0000
8 V 0.0000 0.0000 0.0000
9 F 0.0000 0.2571 0.2571
10 F 0.0000 0.7429 0.7429
11 F 0.2500 0.5000 0.7500
12 F 0.2500 0.7500 0.5000
13 F 0.2571 0.0000 0.2571
14 F 0.2571 0.2571 0.0000
15 F 0.5000 0.2500 0.7500
16 F 0.5000 0.7500 0.2500
17 F 0.7429 0.0000 0.7429
18 F 0.7429 0.7429 0.0000
19 F 0.7500 0.2500 0.5000
20 F 0.7500 0.5000 0.2500